# 1
# ZnGa5Pd
Computed X-ray diffraction stick pattern, λ = 1.5418 Å (Cu Kα). Input: a cell relaxed with GGA-PBE.

Peak list (8 most intense, 10° ≤ 2θ ≤ 90°, by intensity)
| hkl | Position (°2θ) | I_rel |
| --- | --- | --- |
| 0 2 0 | 19.09 | 100.0 |
| 0 4 0 | 38.73 | 84.0 |
| 2 0 0 | 24.69 | 77.7 |
| 1 1 2 | 40.82 | 72.0 |
| 2 1 1 | 32.52 | 68.6 |
| 1 3 2 | 49.70 | 67.0 |
| 2 4 0 | 46.52 | 64.7 |
| 1 2 1 | 29.48 | 58.7 |

Structural model:
```
data_ZnGa5Pd
_chemical_formula_sum 'Zn2 Ga10 Pd2'
_symmetry_space_group_name_H-M 'I m m 2'
_symmetry_Int_Tables_number 44
_cell_length_a 7.212
_cell_length_b 9.299
_cell_length_c 4.797
_cell_angle_alpha 90.00
_cell_angle_beta 90.00
_cell_angle_gamma 90.00
loop_
_symmetry_equiv_pos_as_xyz
'x,y,z'
'-x,-y,z'
'-x,y,z'
'x,-y,z'
'x+1/2,y+1/2,z+1/2'
'-x+1/2,-y+1/2,z+1/2'
'-x+1/2,y+1/2,z+1/2'
'x+1/2,-y+1/2,z+1/2'
loop_
_atom_site_label
_atom_site_type_symbol
_atom_site_fract_x
_atom_site_fract_y
_atom_site_fract_z
Zn1 Zn 0.000 0.000 0.000
Ga1 Ga 0.000 0.000 0.486
Ga2 Ga 0.000 0.267 0.941
Ga3 Ga 0.179 0.500 0.239
Pd1 Pd 0.000 0.500 0.696
```

# 2
# ZnGa8Pd2
Computed X-ray diffraction stick pattern, λ = 1.5418 Å (Cu Kα). Input: a cell relaxed with GGA-PBE.

Peak list (8 most intense, 10° ≤ 2θ ≤ 90°, by intensity)
| hkl | Position (°2θ) | I_rel |
| --- | --- | --- |
| 3 1 -2 | 40.98 | 100.0 |
| 5 1 0 | 43.15 | 87.7 |
| 2 2 1 | 36.46 | 74.0 |
| 2 0 2 | 43.28 | 69.4 |
| 0 2 1 | 30.26 | 52.1 |
| 0 2 0 | 24.23 | 51.1 |
| 0 4 0 | 49.64 | 33.8 |
| 5 5 0 | 78.42 | 33.3 |

Structural model:
```
data_ZnGa8Pd2
_chemical_formula_sum 'Zn2 Ga16 Pd4'
_symmetry_space_group_name_H-M 'C 1 2/m 1'
_symmetry_Int_Tables_number 12
_cell_length_a 11.223
_cell_length_b 7.346
_cell_length_c 5.098
_cell_angle_alpha 90.00
_cell_angle_beta 103.02
_cell_angle_gamma 90.00
loop_
_symmetry_equiv_pos_as_xyz
'x,y,z'
'-x,-y,-z'
'-x,y,-z'
'x,-y,z'
'x+1/2,y+1/2,z'
'-x+1/2,-y+1/2,-z'
'-x+1/2,y+1/2,-z'
'x+1/2,-y+1/2,z'
loop_
_atom_site_label
_atom_site_type_symbol
_atom_site_fract_x
_atom_site_fract_y
_atom_site_fract_z
Zn1 Zn 0.000 0.000 0.000
Ga1 Ga 0.087 0.500 0.862
Ga2 Ga 0.103 0.293 0.385
Ga3 Ga 0.191 0.000 0.793
Pd1 Pd 0.215 0.000 0.311
```

# 3
# Zn5Ga2Pd
Computed X-ray diffraction stick pattern, λ = 1.5418 Å (Cu Kα). Input: a cell relaxed with GGA-PBE.

Peak list (8 most intense, 10° ≤ 2θ ≤ 90°, by intensity)
| hkl | Position (°2θ) | I_rel |
| --- | --- | --- |
| 2 -2 0 | 41.81 | 100.0 |
| 2 0 0 | 41.02 | 42.9 |
| 0 2 -2 | 42.38 | 41.1 |
| 0 2 0 | 38.55 | 36.9 |
| 0 0 2 | 38.42 | 35.6 |
| -1 1 2 | 42.56 | 34.4 |
| 1 1 0 | 33.67 | 20.8 |
| 1 -1 2 | 45.35 | 19.6 |

Structural model:
```
data_Zn5Ga2Pd
_chemical_formula_sum 'Zn5 Ga2 Pd1'
_symmetry_space_group_name_H-M 'P 1'
_symmetry_Int_Tables_number 1
_cell_length_a 5.224
_cell_length_b 5.400
_cell_length_c 5.411
_cell_angle_alpha 104.20
_cell_angle_beta 109.23
_cell_angle_gamma 109.42
loop_
_symmetry_equiv_pos_as_xyz
'x,y,z'
loop_
_atom_site_label
_atom_site_type_symbol
_atom_site_fract_x
_atom_site_fract_y
_atom_site_fract_z
Zn1 Zn 0.000 0.000 0.000
Zn2 Zn 0.002 0.444 0.565
Zn3 Zn 0.463 0.403 0.962
Zn4 Zn 0.574 0.059 0.620
Zn5 Zn 0.969 0.907 0.466
Ga1 Ga 0.505 0.506 0.508
Ga2 Ga 0.509 0.952 0.071
Pd1 Pd 0.088 0.570 0.131
```

# 4
# Zn3Ga4Pd7
Computed X-ray diffraction stick pattern, λ = 1.5418 Å (Cu Kα). Input: a cell relaxed with GGA-PBE.

Peak list (8 most intense, 10° ≤ 2θ ≤ 90°, by intensity)
| hkl | Position (°2θ) | I_rel |
| --- | --- | --- |
| 1 4 0 | 41.00 | 100.0 |
| 1 2 2 | 41.38 | 60.4 |
| 2 0 2 | 38.25 | 22.8 |
| 3 1 2 | 47.14 | 21.2 |
| 7 -4 2 | 66.42 | 15.8 |
| 5 -3 2 | 52.40 | 13.9 |
| 2 6 2 | 77.01 | 12.8 |
| 6 1 2 | 70.74 | 12.0 |

Structural model:
```
data_Zn3Ga4Pd7
_chemical_formula_sum 'Zn9 Ga12 Pd21'
_symmetry_space_group_name_H-M 'R 3'
_symmetry_Int_Tables_number 146
_symmetry_space_group_name_Hall 'R 3'
_cell_length_a 11.6495
_cell_length_b 11.6495
_cell_length_c 5.3208
_cell_angle_alpha 90.00
_cell_angle_beta 90.00
_cell_angle_gamma 120.00
loop_
_atom_site_label
_atom_site_type_symbol
_atom_site_fract_x
_atom_site_fract_y
_atom_site_fract_z
Zn1 Zn 0.0264 0.2344 0.0000
Ga1 Ga 0.0000 0.0000 0.6813
Ga2 Ga 0.1347 0.6962 0.9916
Pd1 Pd 0.0000 0.0000 0.1636
Pd2 Pd 0.0279 0.2183 0.5010
Pd3 Pd 0.1336 0.6941 0.4953
```

# 5
# ZnGa8Pd6
Computed X-ray diffraction stick pattern, λ = 1.5418 Å (Cu Kα). Input: a cell relaxed with GGA-PBE.

Peak list (8 most intense, 10° ≤ 2θ ≤ 90°, by intensity)
| hkl | Position (°2θ) | I_rel |
| --- | --- | --- |
| 1 1 6 | 42.23 | 100.0 |
| 3 0 0 | 42.10 | 90.5 |
| 3 3 0 | 77.01 | 46.3 |
| 4 -2 6 | 61.15 | 32.2 |
| 1 1 0 | 23.94 | 25.8 |
| 0 0 3 | 16.94 | 17.6 |
| 1 1 3 | 29.47 | 16.6 |
| 2 -1 12 | 77.29 | 12.3 |

Structural model:
```
data_ZnGa8Pd6
_chemical_formula_sum 'Zn3 Ga24 Pd18'
_symmetry_space_group_name_H-M 'R -3'
_symmetry_Int_Tables_number 148
_symmetry_space_group_name_Hall '-R 3'
_cell_length_a 7.4346
_cell_length_b 7.4346
_cell_length_c 15.7058
_cell_angle_alpha 90.00
_cell_angle_beta 90.00
_cell_angle_gamma 120.00
loop_
_atom_site_label
_atom_site_type_symbol
_atom_site_fract_x
_atom_site_fract_y
_atom_site_fract_z
Zn1 Zn 0.0000 0.0000 0.0000
Ga1 Ga 0.0000 0.0000 0.3332
Ga2 Ga 0.0029 0.3271 0.1192
Pd1 Pd 0.0006 0.3360 0.9484
```

# 6
# Zn2Ga2Pd5
Computed X-ray diffraction stick pattern, λ = 1.5418 Å (Cu Kα). Input: a cell relaxed with GGA-PBE.

Peak list (8 most intense, 10° ≤ 2θ ≤ 90°, by intensity)
| hkl | Position (°2θ) | I_rel |
| --- | --- | --- |
| 1 1 0 | 41.73 | 100.0 |
| 1 0 3 | 39.96 | 97.4 |
| 2 0 3 | 59.15 | 29.9 |
| 2 1 3 | 74.98 | 28.9 |
| 1 1 6 | 81.35 | 19.9 |
| 3 0 0 | 76.17 | 16.1 |
| 1 0 1 | 25.99 | 9.2 |
| 1 1 3 | 53.32 | 7.1 |

Structural model:
```
data_Zn2Ga2Pd5
_chemical_formula_sum 'Zn2 Ga2 Pd5'
_symmetry_space_group_name_H-M 'P -6 m 2'
_symmetry_Int_Tables_number 187
_symmetry_space_group_name_Hall 'P -6 2'
_cell_length_a 4.3294
_cell_length_b 4.3294
_cell_length_c 8.4740
_cell_angle_alpha 90.00
_cell_angle_beta 90.00
_cell_angle_gamma 120.00
loop_
_atom_site_label
_atom_site_type_symbol
_atom_site_fract_x
_atom_site_fract_y
_atom_site_fract_z
Zn1 Zn 0.0000 0.0000 0.0000
Zn2 Zn 0.3333 0.6667 0.5000
Ga1 Ga 0.6667 0.3333 0.2009
Pd1 Pd 0.0000 0.0000 0.3265
Pd2 Pd 0.3333 0.6667 0.1619
Pd3 Pd 0.6667 0.3333 0.5000
```

# 7
# Zn4Ga3Pd
Computed X-ray diffraction stick pattern, λ = 1.5418 Å (Cu Kα). Input: a cell relaxed with GGA-PBE.

Peak list (8 most intense, 10° ≤ 2θ ≤ 90°, by intensity)
| hkl | Position (°2θ) | I_rel |
| --- | --- | --- |
| 0 2 0 | 43.11 | 100.0 |
| 9 1 0 | 42.63 | 93.3 |
| 3 1 -1 | 39.01 | 81.9 |
| 1 1 1 | 38.79 | 72.5 |
| 7 1 0 | 35.56 | 59.7 |
| 5 1 -1 | 41.70 | 52.9 |
| 3 1 1 | 41.28 | 52.9 |
| 8 0 0 | 32.38 | 52.2 |

Structural model:
```
data_Zn4Ga3Pd
_chemical_formula_sum 'Zn8 Ga6 Pd2'
_symmetry_space_group_name_H-M 'C 1 2/m 1'
_symmetry_Int_Tables_number 12
_cell_length_a 22.261
_cell_length_b 4.197
_cell_length_c 2.868
_cell_angle_alpha 90.00
_cell_angle_beta 96.49
_cell_angle_gamma 90.00
loop_
_symmetry_equiv_pos_as_xyz
'x,y,z'
'-x,-y,-z'
'-x,y,-z'
'x,-y,z'
'x+1/2,y+1/2,z'
'-x+1/2,-y+1/2,-z'
'-x+1/2,y+1/2,-z'
'x+1/2,-y+1/2,z'
loop_
_atom_site_label
_atom_site_type_symbol
_atom_site_fract_x
_atom_site_fract_y
_atom_site_fract_z
Zn1 Zn 0.102 0.000 0.095
Zn2 Zn 0.224 0.000 0.230
Ga1 Ga 0.000 0.500 0.000
Ga2 Ga 0.154 0.500 0.646
Pd1 Pd 0.000 0.000 0.500
```

# 8
# Zr4GaPd
Computed X-ray diffraction stick pattern, λ = 1.5418 Å (Cu Kα). Input: a cell relaxed with GGA-PBE.

Peak list (8 most intense, 10° ≤ 2θ ≤ 90°, by intensity)
| hkl | Position (°2θ) | I_rel |
| --- | --- | --- |
| 2 1 1 | 33.98 | 100.0 |
| 3 1 0 | 42.02 | 49.1 |
| 1 1 2 | 38.78 | 37.1 |
| 2 0 2 | 43.27 | 31.1 |
| 3 3 2 | 68.40 | 21.5 |
| 2 1 3 | 60.58 | 18.0 |
| 4 0 2 | 65.19 | 17.5 |
| 2 2 0 | 37.41 | 12.5 |

Structural model:
```
data_Zr4GaPd
_chemical_formula_sum 'Zr8 Ga2 Pd2'
_symmetry_space_group_name_H-M 'I 4 2 2'
_symmetry_Int_Tables_number 97
_symmetry_space_group_name_Hall 'I 4 2'
_cell_length_a 6.799
_cell_length_b 6.799
_cell_length_c 5.304
_cell_angle_alpha 90.00
_cell_angle_beta 90.00
_cell_angle_gamma 90.00
loop_
_atom_site_label
_atom_site_type_symbol
_atom_site_fract_x
_atom_site_fract_y
_atom_site_fract_z
Zr1 Zr 0.155 0.345 0.250
Ga1 Ga 0.000 0.000 0.000
Pd1 Pd 0.000 0.000 0.500
```

# 9
# ZrGa3Pd
Computed X-ray diffraction stick pattern, λ = 1.5418 Å (Cu Kα). Input: a cell relaxed with GGA-PBE.

Peak list (8 most intense, 10° ≤ 2θ ≤ 90°, by intensity)
| hkl | Position (°2θ) | I_rel |
| --- | --- | --- |
| 2 2 -1 | 40.52 | 100.0 |
| 0 1 3 | 40.70 | 79.3 |
| 2 1 2 | 38.10 | 73.5 |
| 3 0 -2 | 38.38 | 67.9 |
| 1 2 -1 | 36.26 | 54.0 |
| 3 1 1 | 39.23 | 43.1 |
| 2 1 -2 | 34.96 | 37.7 |
| 3 1 -1 | 36.94 | 32.1 |

Structural model:
```
data_ZrGa3Pd
_chemical_formula_sum 'Zr4 Ga12 Pd4'
_symmetry_space_group_name_H-M 'P 1 21/c 1'
_symmetry_Int_Tables_number 14
_cell_length_a 8.465
_cell_length_b 5.477
_cell_length_c 7.315
_cell_angle_alpha 90.00
_cell_angle_beta 96.09
_cell_angle_gamma 90.00
loop_
_symmetry_equiv_pos_as_xyz
'x,y,z'
'-x,-y,-z'
'-x,y+1/2,-z+1/2'
'x,-y+1/2,z+1/2'
loop_
_atom_site_label
_atom_site_type_symbol
_atom_site_fract_x
_atom_site_fract_y
_atom_site_fract_z
Zr1 Zr 0.114 0.124 0.191
Ga1 Ga 0.118 0.627 0.054
Ga2 Ga 0.268 0.593 0.366
Ga3 Ga 0.372 0.153 0.500
Pd1 Pd 0.446 0.565 0.699
```

# 10
# Pm5Ga4
Computed X-ray diffraction stick pattern, λ = 1.5418 Å (Cu Kα). Input: a cell relaxed with GGA-PBE.

Peak list (8 most intense, 10° ≤ 2θ ≤ 90°, by intensity)
| hkl | Position (°2θ) | I_rel |
| --- | --- | --- |
| 1 1 2 | 30.83 | 100.0 |
| 3 1 -1 | 30.99 | 96.4 |
| 1 1 -3 | 32.71 | 55.7 |
| 0 2 0 | 39.57 | 50.7 |
| 3 1 -3 | 35.90 | 43.0 |
| 4 0 -1 | 32.30 | 37.6 |
| 2 0 -3 | 26.58 | 34.5 |
| 6 0 -4 | 51.94 | 32.5 |

Structural model:
```
data_Pm5Ga4
_chemical_formula_sum 'Pm10 Ga8'
_symmetry_space_group_name_H-M 'C 1 2/m 1'
_symmetry_Int_Tables_number 12
_cell_length_a 11.201
_cell_length_b 4.556
_cell_length_c 10.330
_cell_angle_alpha 90.00
_cell_angle_beta 113.67
_cell_angle_gamma 90.00
loop_
_symmetry_equiv_pos_as_xyz
'x,y,z'
'-x,-y,-z'
'-x,y,-z'
'x,-y,z'
'x+1/2,y+1/2,z'
'-x+1/2,-y+1/2,-z'
'-x+1/2,y+1/2,-z'
'x+1/2,-y+1/2,z'
loop_
_atom_site_label
_atom_site_type_symbol
_atom_site_fract_x
_atom_site_fract_y
_atom_site_fract_z
Pm1 Pm 0.000 0.000 0.000
Pm2 Pm 0.106 0.000 0.395
Pm3 Pm 0.242 0.000 0.827
Ga1 Ga 0.047 0.500 0.830
Ga2 Ga 0.113 0.500 0.612
```

# 11
# Pm8Ga3
Computed X-ray diffraction stick pattern, λ = 1.5418 Å (Cu Kα). Input: a cell relaxed with GGA-PBE.

Peak list (8 most intense, 10° ≤ 2θ ≤ 90°, by intensity)
| hkl | Position (°2θ) | I_rel |
| --- | --- | --- |
| 2 1 1 | 28.37 | 100.0 |
| 2 -1 3 | 27.99 | 46.8 |
| 1 2 2 | 31.02 | 41.6 |
| 1 0 4 | 30.50 | 33.3 |
| 4 -2 3 | 42.40 | 22.1 |
| 1 4 0 | 48.50 | 21.6 |
| 1 3 4 | 48.02 | 15.5 |
| 2 0 5 | 41.87 | 11.8 |

Structural model:
```
data_Pm8Ga3
_chemical_formula_sum 'Pm24 Ga9'
_symmetry_space_group_name_H-M 'R -3'
_symmetry_Int_Tables_number 148
_symmetry_space_group_name_Hall '-R 3'
_cell_length_a 9.9316
_cell_length_b 9.9316
_cell_length_c 12.4719
_cell_angle_alpha 90.00
_cell_angle_beta 90.00
_cell_angle_gamma 120.00
loop_
_atom_site_label
_atom_site_type_symbol
_atom_site_fract_x
_atom_site_fract_y
_atom_site_fract_z
Pm1 Pm 0.0000 0.0000 0.1483
Pm2 Pm 0.0406 0.2507 0.6132
Ga1 Ga 0.0000 0.5000 0.5000
```

# 12
# Pm5Ga3
Computed X-ray diffraction stick pattern, λ = 1.5418 Å (Cu Kα). Input: a cell relaxed with GGA-PBE.

Peak list (8 most intense, 10° ≤ 2θ ≤ 90°, by intensity)
| hkl | Position (°2θ) | I_rel |
| --- | --- | --- |
| 2 1 1 | 33.90 | 100.0 |
| 1 1 2 | 33.16 | 85.6 |
| 2 1 0 | 31.21 | 40.2 |
| 1 0 2 | 28.54 | 32.7 |
| 3 0 0 | 35.52 | 32.7 |
| 2 1 3 | 51.07 | 31.2 |
| 4 0 2 | 55.37 | 22.1 |
| 2 2 2 | 49.38 | 20.5 |

Structural model:
```
data_Pm5Ga3
_chemical_formula_sum 'Pm10 Ga6'
_symmetry_space_group_name_H-M 'P 63/m c m'
_symmetry_Int_Tables_number 193
_symmetry_space_group_name_Hall '-P 6c 2'
_cell_length_a 8.7545
_cell_length_b 8.7545
_cell_length_c 6.8665
_cell_angle_alpha 90.00
_cell_angle_beta 90.00
_cell_angle_gamma 120.00
loop_
_atom_site_label
_atom_site_type_symbol
_atom_site_fract_x
_atom_site_fract_y
_atom_site_fract_z
Pm1 Pm 0.0000 0.2407 0.2500
Pm2 Pm 0.3333 0.6667 0.0000
Ga1 Ga 0.0000 0.4047 0.7500
```

# 13
# Pm5PrGa4
Computed X-ray diffraction stick pattern, λ = 1.5418 Å (Cu Kα). Input: a cell relaxed with GGA-PBE.

Peak list (8 most intense, 10° ≤ 2θ ≤ 90°, by intensity)
| hkl | Position (°2θ) | I_rel |
| --- | --- | --- |
| 1 0 5 | 33.05 | 100.0 |
| 1 1 0 | 34.84 | 67.9 |
| 2 1 5 | 61.33 | 33.3 |
| 1 0 6 | 36.25 | 27.9 |
| 2 0 0 | 50.09 | 24.1 |
| 1 0 4 | 30.21 | 15.3 |
| 1 1 11 | 61.87 | 14.2 |
| 1 0 0 | 24.44 | 11.0 |

Structural model:
```
data_Pm5PrGa4
_chemical_formula_sum 'Pm5 Pr1 Ga4'
_symmetry_space_group_name_H-M 'P 4/m m m'
_symmetry_Int_Tables_number 123
_symmetry_space_group_name_Hall '-P 4 2'
_cell_length_a 3.642
_cell_length_b 3.642
_cell_length_c 20.294
_cell_angle_alpha 90.00
_cell_angle_beta 90.00
_cell_angle_gamma 90.00
loop_
_atom_site_label
_atom_site_type_symbol
_atom_site_fract_x
_atom_site_fract_y
_atom_site_fract_z
Pm1 Pm 0.000 0.000 0.000
Pm2 Pm 0.000 0.000 0.183
Pm3 Pm 0.000 0.000 0.366
Pr1 Pr 0.500 0.500 0.500
Ga1 Ga 0.500 0.500 0.092
Ga2 Ga 0.500 0.500 0.277
```